# BClF5
Computed X-ray diffraction stick pattern, λ = 1.5418 Å (Cu Kα). Input: a DFT-relaxed cell (GGA-PBE, Alexandria).
Lines closer than 0.1° are merged.

Atomic structure:
```
14
Lattice="3.353 -4.860 0.000 3.353 4.860 0.000 -0.849 0.000 6.497" Properties=species:S:1:pos:R:3 pbc="T T T"
B 0.000 0.000 0.000
B -0.424 0.000 3.248
Cl 2.717 0.927 4.873
Cl 3.141 -0.927 1.624
F 1.949 3.751 6.012
F 3.141 4.213 1.624
F 3.484 3.751 3.733
F 1.905 0.995 3.311
F 2.329 -0.995 0.062
F 3.528 0.995 6.435
F 3.953 -0.995 3.186
F 2.373 -3.751 2.764
F 2.717 -4.213 4.873
F 3.909 -3.751 0.485
```

Main lines, low angle first (2θ from 10° to 90°):
2θ (°)	intensity
18.25	64
20.03	32
22.85	28
26.81	39
32.98	18
34.08	100
36.98	33
45.88	22
47.50	14
56.89	22